Structure and theoretical X-ray powder pattern of CaV4O10 (a crystal structure in the Materials Project, relaxed with PBE+U; copper Kα).

Largest 8 diffraction maxima, in order of rising 2θ, 2θ = 5–70°:
- 7.79°, intensity 18
- 15.63°, intensity 100
- 25.23°, intensity 30
- 26.44°, intensity 30
- 28.36°, intensity 34
- 31.54°, intensity 17
- 34.76°, intensity 25
- 57.64°, intensity 16

Cell and atoms:
Lattice parameters (Å, degrees): 11.349 5.967 5.967 36.27 90.00 90.00
Fractional coordinates of all 15 atoms:
Ca: 0.000 0.000 0.000
V: 0.153 0.302 0.302
V: 0.351 0.892 0.892
V: 0.649 0.892 0.892
V: 0.847 0.302 0.302
O: 0.000 0.386 0.386
O: 0.130 0.157 0.157
O: 0.176 0.860 0.860
O: 0.321 0.350 0.350
O: 0.365 0.032 0.032
O: 0.500 0.834 0.834
O: 0.635 0.032 0.032
O: 0.679 0.350 0.350
O: 0.824 0.860 0.860
O: 0.870 0.157 0.157